1.
Starting from DFT lattice parameters and positions (GGA-PBE), the powder diffractogram of Ho4Mg7Sc was simulated for a wavelength of 1.5418 Å.

Structure:
Cell: 5.2200 5.2200 13.1304 Å, 90.00 90.00 120.00°
Space group P-3m1 (No. 164)
One atom of each set of equivalent atoms:
Ho  0.3333  0.6667  0.1572 [2 per cell]
Ho  0.3333  0.6667  0.4188 [2 per cell]
Mg  0.0000  0.0000  0.2561 [2 per cell]
Mg  0.0000  0.0000  0.5000 [1 per cell]
Mg  0.3333  0.6667  0.6832 [2 per cell]
Mg  0.3333  0.6667  0.9191 [2 per cell]
Sc  0.0000  0.0000  0.0000 [1 per cell]

Principal peaks in the range 2θ = 10–90°, sorted by position:
hkl 1 0 0, 19.64 deg, d = 4.521 Å, I = 31; hkl 0 1 1, 20.78 deg, d = 4.274 Å, I = 84; hkl 0 1 3, 28.38 deg, d = 3.144 Å, I = 47; hkl 1 0 4, 33.74 deg, d = 2.656 Å, I = 100; hkl 1 1 0, 34.36 deg, d = 2.610 Å, I = 93; hkl 2 0 1, 40.50 deg, d = 2.228 Å, I = 15; hkl 0 2 4, 48.93 deg, d = 1.862 Å, I = 35; hkl 0 1 8, 59.96 deg, d = 1.543 Å, I = 18; hkl 2 1 4, 61.15 deg, d = 1.516 Å, I = 36; hkl 3 0 0, 61.54 deg, d = 1.507 Å, I = 17; hkl 1 2 8, 81.28 deg, d = 1.184 Å, I = 15; hkl 1 3 4, 82.32 deg, d = 1.171 Å, I = 15

=====

2.
Starting from DFT lattice parameters and positions (GGA-PBE), the powder diffractogram of Tb2Ho2Mg5Sc was simulated for a wavelength of 1.5418 Å.

Structure:
Cell: 10.5069 10.5069 4.9331 Å, 90.00 90.00 90.00°
Space group P4/mbm (No. 127)
One atom of each set of equivalent atoms:
Tb  0.1775  0.3225  0.0000 [4 per cell]
Ho  0.1200  0.6200  0.0000 [4 per cell]
Mg  0.0000  0.5000  0.5000 [2 per cell]
Mg  0.0680  0.8068  0.5000 [8 per cell]
Sc  0.0000  0.0000  0.0000 [2 per cell]

Principal peaks in the range 2θ = 10–90°, sorted by position:
hkl 1 1 0, 11.91 deg, d = 7.429 Å, I = 51; hkl 0 0 1, 17.98 deg, d = 4.933 Å, I = 100; hkl 1 1 1, 21.62 deg, d = 4.110 Å, I = 32; hkl 3 1 0, 26.83 deg, d = 3.323 Å, I = 37; hkl 3 1 1, 32.49 deg, d = 2.756 Å, I = 95; hkl 4 1 0, 35.22 deg, d = 2.548 Å, I = 34; hkl 3 2 1, 35.79 deg, d = 2.509 Å, I = 59; hkl 3 3 0, 36.27 deg, d = 2.476 Å, I = 22; hkl 0 0 2, 36.43 deg, d = 2.467 Å, I = 37; hkl 4 0 1, 38.84 deg, d = 2.319 Å, I = 28; hkl 4 1 2, 51.57 deg, d = 1.772 Å, I = 23; hkl 7 2 1, 67.64 deg, d = 1.385 Å, I = 22

=====

3.
Starting from DFT lattice parameters and positions (GGA-PBE), the powder diffractogram of Tb6Ho2MgSc3 was simulated for a wavelength of 1.5418 Å.

Structure:
Cell: 6.0048 10.4015 11.3491 Å, 90.00 100.18 90.00°
Space group C2/m (No. 12)
One atom of each set of equivalent atoms:
Tb  0.2478  0.0000  0.2419 [4 per cell]
Tb  0.2478  0.3333  0.2424 [8 per cell]
Ho  0.0000  0.3335  0.5000 [4 per cell]
Mg  0.0000  0.0000  0.5000 [2 per cell]
Sc  0.0000  0.1661  0.0000 [4 per cell]
Sc  0.0000  0.5000  0.0000 [2 per cell]

Principal peaks in the range 2θ = 10–90°, sorted by position:
hkl 0 0 2, 15.87 deg, d = 5.585 Å, I = 17; hkl 2 0 0, 30.24 deg, d = 2.955 Å, I = 11; hkl 1 3 1, 31.66 deg, d = 2.826 Å, I = 100; hkl 0 0 4, 32.05 deg, d = 2.793 Å, I = 32; hkl 2 0 2, 36.83 deg, d = 2.440 Å, I = 66; hkl 0 6 0, 52.81 deg, d = 1.734 Å, I = 24; hkl 1 3 5, 53.33 deg, d = 1.718 Å, I = 22; hkl 4 0 0, 62.89 deg, d = 1.478 Å, I = 14; hkl 3 3 3, 63.13 deg, d = 1.473 Å, I = 27; hkl 2 6 2, 66.12 deg, d = 1.413 Å, I = 12; hkl 4 6 0, 86.55 deg, d = 1.125 Å, I = 12; hkl 5 3 1, 89.47 deg, d = 1.095 Å, I = 11

=====

4.
Starting from DFT lattice parameters and positions (GGA-PBE), the powder diffractogram of YHo4MgSe8 was simulated for a wavelength of 1.5418 Å.

Structure:
Cell: 8.3167 8.3167 20.3813 Å, 90.00 90.00 120.00°
Space group R3m (No. 160, hexagonal axes)
One atom of each set of equivalent atoms:
Y  0.0000  0.0000  0.0000 [3 per cell]
Ho  0.0000  0.0000  0.3781 [3 per cell]
Ho  0.0087  0.5043  0.5043 [9 per cell]
Mg  0.0000  0.0000  0.6283 [3 per cell]
Se  0.0000  0.0000  0.2448 [3 per cell]
Se  0.0000  0.0000  0.7572 [3 per cell]
Se  0.0212  0.5106  0.7565 [9 per cell]
Se  0.1714  0.3428  0.5847 [9 per cell]

Principal peaks in the range 2θ = 10–90°, sorted by position:
hkl 0 0 3, 13.03 deg, d = 6.792 Å, I = 32; hkl 1 0 4, 21.36 deg, d = 4.159 Å, I = 14; hkl 0 2 1, 25.11 deg, d = 3.547 Å, I = 82; hkl 0 2 4, 30.39 deg, d = 2.941 Å, I = 73; hkl 0 2 7, 39.82 deg, d = 2.264 Å, I = 43; hkl 2 2 0, 43.52 deg, d = 2.079 Å, I = 100; hkl 4 0 4, 54.01 deg, d = 1.698 Å, I = 18; hkl 4 0 7, 60.45 deg, d = 1.531 Å, I = 19; hkl 0 4 8, 63.24 deg, d = 1.470 Å, I = 16; hkl 0 0 15, 69.16 deg, d = 1.358 Å, I = 13; hkl 2 4 4, 71.77 deg, d = 1.315 Å, I = 22; hkl 6 0 0, 79.90 deg, d = 1.201 Å, I = 32